(1)
Starting from a structure optimized by DFT (PBE), the powder diffraction line list of MgSc4Al3 was simulated for a wavelength of 1.5418 Å.

Most intense lines, 2θ from 15° to 90°, low angle first:
2θ (°)	intensity	h k l
26.05	9	1 1 0
37.17	100	2 0 0
53.58	16	2 2 0
60.52	2	3 1 0
67.01	31	3 1 2
79.20	9	4 0 0

```
data_MgSc4Al3
_cell_length_a 4.8374
_cell_length_b 4.8374
_cell_length_c 6.8431
_cell_angle_alpha 90.00
_cell_angle_beta 90.00
_cell_angle_gamma 90.00
_space_group_name_H-M_alt 'P 4/m m m'
_space_group_IT_number 123
_space_group_name_Hall '-P 4 2'
loop_
_atom_site_label
_atom_site_fract_x
_atom_site_fract_y
_atom_site_fract_z
Mg1 0.0000 0.0000 0.0000
Sc1 0.0000 0.5000 0.2549
Al1 0.0000 0.0000 0.5000
Al2 0.5000 0.5000 0.0000
Al3 0.5000 0.5000 0.5000
```



(2)
Starting from a structure optimized by DFT (PBE), the powder diffraction line list of PmZn3Rh2 was simulated for a wavelength of 1.5418 Å.

Most intense lines, 2θ from 15° to 90°, low angle first:
2θ (°)	intensity	h k l
36.39	100	2 1 1
38.42	70	2 2 0
39.75	82	3 0 1
43.53	48	0 0 2
44.38	54	2 2 1
59.44	39	2 2 2

```
data_PmZn3Rh2
_cell_length_a 9.3732
_cell_length_b 9.3732
_cell_length_c 4.1577
_cell_angle_alpha 90.00
_cell_angle_beta 90.00
_cell_angle_gamma 120.00
_space_group_name_H-M_alt 'P 6/m m m'
_space_group_IT_number 191
_space_group_name_Hall '-P 6 2'
loop_
_atom_site_label
_atom_site_fract_x
_atom_site_fract_y
_atom_site_fract_z
Pm1 0.0000 0.0000 0.0000
Pm2 0.3333 0.6667 0.5000
Zn1 0.0000 0.2914 0.5000
Zn2 0.0000 0.5000 0.0000
Rh1 0.1867 0.3734 0.0000
```



(3)
Starting from a structure optimized by DFT (PBE), the powder diffraction line list of Ac2ZnIr was simulated for a wavelength of 1.5418 Å.

Most intense lines, 2θ from 15° to 90°, low angle first:
2θ (°)	intensity	h k l
24.59	36	0 1 2
30.34	100	0 1 5
35.89	24	1 0 7
41.03	50	1 1 0
45.76	26	1 0 10
51.87	23	2 0 5

```
data_Ac2ZnIr
_cell_length_a 4.4000
_cell_length_b 4.4000
_cell_length_c 23.2213
_cell_angle_alpha 90.00
_cell_angle_beta 90.00
_cell_angle_gamma 120.00
_space_group_name_H-M_alt 'R 3 m'
_space_group_IT_number 160
_space_group_name_Hall 'R 3 -2"'
loop_
_atom_site_label
_atom_site_fract_x
_atom_site_fract_y
_atom_site_fract_z
Ac1 0.0000 0.0000 0.0000
Ac2 0.0000 0.0000 0.1959
Zn1 0.0000 0.0000 0.4324
Ir1 0.0000 0.0000 0.5964
```



(4)
Starting from a structure optimized by DFT (PBE), the powder diffraction line list of ZrAg2Pd5 was simulated for a wavelength of 1.5418 Å.

Most intense lines, 2θ from 15° to 90°, low angle first:
2θ (°)	intensity	h k l
38.56	100	1 1 4
44.15	34	2 0 0
46.16	15	0 0 8
65.79	20	2 0 8
77.46	25	3 1 4
80.38	11	1 1 12

```
data_ZrAg2Pd5
_cell_length_a 4.1030
_cell_length_b 4.1030
_cell_length_c 15.7308
_cell_angle_alpha 90.00
_cell_angle_beta 90.00
_cell_angle_gamma 90.00
_space_group_name_H-M_alt 'I 4/m m m'
_space_group_IT_number 139
_space_group_name_Hall '-I 4 2'
loop_
_atom_site_label
_atom_site_fract_x
_atom_site_fract_y
_atom_site_fract_z
Zr1 0.0000 0.0000 0.0000
Ag1 0.0000 0.0000 0.2512
Pd1 0.0000 0.0000 0.5000
Pd2 0.0000 0.5000 0.1222
```



(5)
Starting from a structure optimized by DFT (PBE), the powder diffraction line list of Sm3NiIr8 was simulated for a wavelength of 1.5418 Å.

Most intense lines, 2θ from 15° to 90°, low angle first:
2θ (°)	intensity	h k l
20.29	25	0 0 6
39.42	100	2 0 2
41.25	56	0 0 12
63.79	31	0 3 6
70.24	29	2 2 0
84.83	22	2 0 20

```
data_Sm3NiIr8
_cell_length_a 5.3593
_cell_length_b 5.3593
_cell_length_c 26.2753
_cell_angle_alpha 90.00
_cell_angle_beta 90.00
_cell_angle_gamma 120.00
_space_group_name_H-M_alt 'R 3 m'
_space_group_IT_number 160
_space_group_name_Hall 'R 3 -2"'
loop_
_atom_site_label
_atom_site_fract_x
_atom_site_fract_y
_atom_site_fract_z
Sm1 0.0000 0.0000 0.0000
Sm2 0.0000 0.0000 0.1299
Sm3 0.0000 0.0000 0.5163
Ni1 0.0000 0.0000 0.6539
Ir1 0.0000 0.0000 0.3161
Ir2 0.0000 0.0000 0.8175
Ir3 0.0009 0.5005 0.5684
Ir4 0.0014 0.5007 0.0665
```



(6)
Starting from a structure optimized by DFT (PBE), the powder diffraction line list of Pm2PuBi3 was simulated for a wavelength of 1.5418 Å.

Most intense lines, 2θ from 15° to 90°, low angle first:
2θ (°)	intensity	h k l
27.63	100	2 0 6
39.48	79	4 0 0
48.86	29	4 4 0
57.06	14	4 0 12
64.56	32	4 4 12
71.56	19	6 4 6

```
data_Pm2PuBi3
_cell_length_a 9.1408
_cell_length_b 12.9151
_cell_length_c 27.3602
_cell_angle_alpha 90.00
_cell_angle_beta 90.00
_cell_angle_gamma 90.00
_space_group_name_H-M_alt 'F d d d'
_space_group_IT_number 70
loop_
_space_group_symop_operation_xyz
'x,y,z'
'-x,-y,-z'
'-x+1/4,-y+1/4,z'
'x+1/4,y+1/4,-z'
'x,-y+1/4,-z+1/4'
'-x,y+1/4,z+1/4'
'-x+1/4,y,-z+1/4'
'x+1/4,-y,z+1/4'
'x,y+1/2,z+1/2'
'-x,-y+1/2,-z+1/2'
'-x+1/4,-y+3/4,z+1/2'
'x+1/4,y+3/4,-z+1/2'
'x,-y+3/4,-z+3/4'
'-x,y+3/4,z+3/4'
'-x+1/4,y+1/2,-z+3/4'
'x+1/4,-y+1/2,z+3/4'
'x+1/2,y,z+1/2'
'-x+1/2,-y,-z+1/2'
'-x+3/4,-y+1/4,z+1/2'
'x+3/4,y+1/4,-z+1/2'
'x+1/2,-y+1/4,-z+3/4'
'-x+1/2,y+1/4,z+3/4'
'-x+3/4,y,-z+3/4'
'x+3/4,-y,z+3/4'
'x+1/2,y+1/2,z'
'-x+1/2,-y+1/2,-z'
'-x+3/4,-y+3/4,z'
'x+3/4,y+3/4,-z'
'x+1/2,-y+3/4,-z+1/4'
'-x+1/2,y+3/4,z+1/4'
'-x+3/4,y+1/2,-z+1/4'
'x+3/4,-y+1/2,z+1/4'
loop_
_atom_site_label
_atom_site_fract_x
_atom_site_fract_y
_atom_site_fract_z
Pm1 0.1250 0.1250 0.0423
Pm2 0.1250 0.1250 0.3743
Pu1 0.1250 0.1250 0.5416
Bi1 0.1213 0.3750 0.8750
Bi2 0.1232 0.3731 0.7091
```



(7)
Starting from a structure optimized by DFT (PBE), the powder diffraction line list of Na3Sc3AsS8 was simulated for a wavelength of 1.5418 Å.

Most intense lines, 2θ from 15° to 90°, low angle first:
2θ (°)	intensity	h k l
32.96	100	0 2 4
42.07	13	0 2 7
45.70	31	2 0 8
48.86	32	2 2 0
60.20	15	4 0 4
81.08	12	2 4 4

```
data_Na3Sc3AsS8
_cell_length_a 7.4565
_cell_length_b 7.4565
_cell_length_c 20.1376
_cell_angle_alpha 90.00
_cell_angle_beta 90.00
_cell_angle_gamma 120.00
_space_group_name_H-M_alt 'R -3 m'
_space_group_IT_number 166
_space_group_name_Hall '-R 3 2"'
loop_
_atom_site_label
_atom_site_fract_x
_atom_site_fract_y
_atom_site_fract_z
Na1 0.0000 0.5000 0.0000
Sc1 0.0000 0.5000 0.5000
As1 0.0000 0.0000 0.5000
S1 0.0000 0.0000 0.2384
S2 0.0109 0.5054 0.2360
```



(8)
Starting from a structure optimized by DFT (PBE), the powder diffraction line list of LiTiRuCl2 was simulated for a wavelength of 1.5418 Å.

Most intense lines, 2θ from 15° to 90°, low angle first:
2θ (°)	intensity	h k l
18.16	100	1 0 0
32.53	38	1 1 1
36.79	39	2 0 0
41.32	23	2 1 0
43.87	19	1 0 2
55.14	22	2 0 2

```
data_LiTiRuCl2
_cell_length_a 4.8856
_cell_length_b 4.8856
_cell_length_c 4.5536
_cell_angle_alpha 90.00
_cell_angle_beta 90.00
_cell_angle_gamma 90.00
_space_group_name_H-M_alt 'P 4/m m m'
_space_group_IT_number 123
_space_group_name_Hall '-P 4 2'
loop_
_atom_site_label
_atom_site_fract_x
_atom_site_fract_y
_atom_site_fract_z
Li1 0.0000 0.0000 0.0000
Ti1 0.5000 0.5000 0.5000
Ru1 0.5000 0.5000 0.0000
Cl1 0.0000 0.5000 0.5000
```